Theoretical X-ray diffraction stick pattern
Compound: La2Zn5Ag12
Radiation: CuKα
Structure: a structure optimized by DFT (GGA-PBE)

The 10 most intense peaks (2θ = 10–80°), sorted by position:
| 2theta | intensity |
| --- | --- |
| 32.5 | 31 |
| 33.5 | 35 |
| 37.7 | 42 |
| 37.9 | 100 |
| 38.5 | 38 |
| 42.6 | 51 |
| 55.0 | 17 |
| 61.6 | 16 |
| 68.1 | 24 |
| 69.3 | 16 |

Crystal structure
```
La2Zn5Ag12
1.0
4.770 2.754 4.674
-4.770 2.754 4.674
0.000 -5.508 4.674
La Zn Ag
2 5 12
Cartesian
0.000 0.000 2.135 La
0.000 0.000 11.886 La
-2.385 -1.377 4.674 Zn
0.000 0.000 5.622 Zn
-2.385 1.377 9.348 Zn
0.000 2.754 4.674 Zn
0.000 0.000 8.400 Zn
0.000 -2.672 4.469 Ag
-2.314 1.336 4.469 Ag
-1.430 -2.476 7.011 Ag
-2.859 0.000 7.011 Ag
-2.314 -1.336 9.553 Ag
1.430 -2.476 7.011 Ag
-1.430 2.476 7.011 Ag
2.314 1.336 4.469 Ag
2.859 0.000 7.011 Ag
1.430 2.476 7.011 Ag
2.314 -1.336 9.553 Ag
0.000 2.672 9.553 Ag
```